Computed powder diffraction line list of Rb2IrCl5 for copper Kα, from a PBE-relaxed structure.

Main lines, sorted by position (10° ≤ 2θ ≤ 90°):
two_theta, intensity, (hkl)
12.12, 73, 0 0 2
17.10, 86, 1 1 1
22.24, 100, 0 1 3
25.45, 60, 0 2 0
26.36, 58, 2 1 2
34.57, 63, 2 2 2

Crystal structure
a b c (Å): 9.0981 7.0010 14.6027
angles (deg): 90.00 90.00 90.00
Space group Pnma (No. 62)
One atom of each set of equivalent atoms:
1 Rb 0.0348 0.2500 0.2002 [4 per cell]
2 Rb 0.1724 0.7500 0.4165 [4 per cell]
3 Ir 0.1704 0.7500 0.0575 [4 per cell]
4 Cl 0.0000 0.0000 0.0000 [4 per cell]
5 Cl 0.0407 0.7500 0.1970 [4 per cell]
6 Cl 0.1726 0.0144 0.6112 [8 per cell]
7 Cl 0.2073 0.2500 0.4119 [4 per cell]